Entry 1:
The following is a simulated powder diffractogram of Dy2YPaP4. It was derived from a DFT-relaxed cell (GGA-PBE, Alexandria), using copper Kα.

Structure:
```
data_Dy2YPaP4
_cell_length_a 6.907
_cell_length_b 3.999
_cell_length_c 6.909
_cell_angle_alpha 90.00
_cell_angle_beta 109.47
_cell_angle_gamma 90.00
_space_group_name_H-M_alt 'P 1 2/m 1'
_space_group_IT_number 10
loop_
_space_group_symop_operation_xyz
'x,y,z'
'-x,-y,-z'
'-x,y,-z'
'x,-y,z'
loop_
_atom_site_label
_atom_site_type_symbol
_atom_site_fract_x
_atom_site_fract_y
_atom_site_fract_z
Dy1 Dy 0.000 0.000 0.000
Dy2 Dy 0.500 0.500 0.000
Y1 Y 0.000 0.500 0.500
Pa1 Pa 0.500 0.000 0.500
P1 P 0.254 0.000 0.747
P2 P 0.254 0.500 0.253
```

Principal peaks in the range 10° ≤ 2θ ≤ 80°, by angle:
d 6.512, I 7, (1 0 0)
d 3.259, I 87, (2 0 0)
d 2.823, I 100, (1 1 1)
d 1.996, I 61, (0 2 0)
d 1.994, I 12, (2 0 2)
d 1.702, I 35, (3 1 1)
d 1.701, I 7, (4 0 -2)
d 1.631, I 13, (2 2 -2)
d 1.628, I 13, (4 0 0)
d 1.411, I 12, (2 2 2)
d 1.295, I 13, (2 0 4)
d 1.262, I 27, (4 2 0)


Entry 2:
The following is a simulated powder diffractogram of TaAs. It was derived from a DFT-relaxed cell (GGA-PBE, Alexandria), using copper Kα.

Structure:
```
data_TaAs
_cell_length_a 3.466
_cell_length_b 3.466
_cell_length_c 11.732
_cell_angle_alpha 90.00
_cell_angle_beta 90.00
_cell_angle_gamma 90.00
_space_group_name_H-M_alt 'I 41 m d'
_space_group_IT_number 109
_space_group_name_Hall 'I 4bw -2'
loop_
_atom_site_label
_atom_site_type_symbol
_atom_site_fract_x
_atom_site_fract_y
_atom_site_fract_z
Ta1 Ta 0.000 0.000 0.000
As1 As 0.000 0.000 0.582
```

Principal peaks in the range 10° ≤ 2θ ≤ 80°, by angle:
d 3.324, I 37, (1 0 1)
d 2.933, I 24, (0 0 4)
d 2.594, I 53, (1 0 3)
d 2.262, I 100, (1 1 2)
d 1.943, I 37, (1 0 5)
d 1.733, I 28, (2 0 0)
d 1.537, I 8, (2 1 1)
d 1.509, I 17, (1 0 7)
d 1.492, I 13, (2 0 4)
d 1.441, I 17, (2 1 3)
d 1.293, I 20, (2 1 5)
d 1.226, I 9, (2 2 0)


Entry 3:
The following is a simulated powder diffractogram of La7AuCl12. It was derived from a DFT-relaxed cell (GGA-PBE, Alexandria), using copper Kα.

Structure:
```
data_La7AuCl12
_cell_length_a 15.6975
_cell_length_b 15.6975
_cell_length_c 9.1149
_cell_angle_alpha 90.00
_cell_angle_beta 90.00
_cell_angle_gamma 120.00
_space_group_name_H-M_alt 'R -3'
_space_group_IT_number 148
_space_group_name_Hall '-R 3'
loop_
_atom_site_label
_atom_site_type_symbol
_atom_site_fract_x
_atom_site_fract_y
_atom_site_fract_z
La1 La 0.0000 0.0000 0.0000
La2 La 0.0377 0.8660 0.3100
Au1 Au 0.0000 0.0000 0.5000
Cl1 Cl 0.0376 0.4579 0.1619
Cl2 Cl 0.0408 0.8587 0.8462
```

Principal peaks in the range 10° ≤ 2θ ≤ 80°, by angle:
d 7.849, I 100, (1 1 0)
d 7.571, I 26, (1 0 1)
d 4.476, I 21, (3 -1 1)
d 3.410, I 21, (3 -2 2)
d 2.951, I 16, (5 -2 1)
d 2.905, I 97, (4 -1 2)
d 2.574, I 14, (5 -3 2)
d 2.266, I 12, (6 0 0)
d 2.177, I 37, (5 2 0)
d 1.950, I 24, (1 3 4)
d 1.742, I 17, (2 6 2)
d 1.360, I 16, (9 1 2)